Starting from the GGA-PBE geometry in Alexandria, the X-ray diffraction stick pattern of Tb4DyHoSe8 was computed for Cu Kα (λ = 1.5418 Å).

Peak list (8 most intense, 10° ≤ 2θ ≤ 90°, sorted by position)
2θ = 21.07°, I = 27.3; 2θ = 24.76°, I = 97.5; 2θ = 29.97°, I = 48.0; 2θ = 39.25°, I = 49.1; 2θ = 42.89°, I = 100.0; 2θ = 59.53°, I = 23.6; 2θ = 62.27°, I = 16.0; 2θ = 78.58°, I = 32.2

Cell and atoms:
```
Tb4DyHoSe8
1.0
4.218 2.435 6.884
-4.218 2.435 6.884
0.000 -4.870 6.884
Tb Dy Ho Se
4 1 1 8
Cartesian
0.000 0.000 0.000 Tb
-2.105 -1.215 9.464 Tb
2.105 -1.215 9.464 Tb
0.000 2.430 9.464 Tb
0.000 0.000 12.898 Dy
0.000 0.000 5.158 Ho
0.000 0.000 7.874 Se
0.000 -2.301 11.146 Se
-1.993 1.150 11.146 Se
-1.975 -1.140 14.668 Se
1.993 1.150 11.146 Se
1.975 -1.140 14.668 Se
0.000 2.280 14.668 Se
0.000 0.000 17.915 Se
```

Starting from the GGA-PBE geometry in Alexandria, the X-ray diffraction stick pattern of NaSi2BH2O7 was computed for Cu Kα (λ = 1.5418 Å).

Peak list (8 most intense, 10° ≤ 2θ ≤ 90°, sorted by position)
2θ = 15.25°, I = 29.8; 2θ = 17.07°, I = 34.8; 2θ = 17.85°, I = 49.1; 2θ = 18.00°, I = 100.0; 2θ = 20.48°, I = 53.9; 2θ = 21.77°, I = 47.0; 2θ = 26.47°, I = 47.1; 2θ = 30.81°, I = 32.7

Cell and atoms:
```
NaSi2BH2O7
1.0
5.259 0.000 0.000
0.000 7.158 0.000
-1.560 0.000 9.940
Na Si B H O
2 4 2 4 14
Cartesian
-0.705 0.000 4.921 Na
4.405 3.579 5.019 Na
-0.360 4.296 8.858 Si
-0.147 0.190 9.313 Si
3.846 3.769 0.627 Si
4.059 0.717 1.082 Si
0.047 2.171 7.174 B
3.653 5.750 2.766 B
0.563 5.094 3.412 H
1.797 5.300 4.315 H
1.902 1.721 5.626 H
3.136 1.515 6.528 H
0.288 0.317 0.545 O
-0.398 1.374 8.247 O
-0.297 5.901 8.572 O
-0.080 3.567 7.419 O
0.405 1.715 5.989 O
0.776 5.266 4.348 O
2.340 3.873 0.009 O
1.360 0.294 9.931 O
2.923 1.687 5.592 O
3.294 5.294 3.951 O
3.780 7.146 2.521 O
3.996 2.322 1.368 O
4.097 4.953 1.693 O
3.411 3.897 9.395 O
```

Starting from the GGA-PBE geometry in Alexandria, the X-ray diffraction stick pattern of Cs2Sb4S7 was computed for Cu Kα (λ = 1.5418 Å).

Peak list (8 most intense, 10° ≤ 2θ ≤ 90°, sorted by position)
2θ = 23.23°, I = 53.1; 2θ = 23.41°, I = 100.0; 2θ = 24.24°, I = 68.4; 2θ = 27.26°, I = 25.6; 2θ = 29.03°, I = 24.7; 2θ = 30.23°, I = 27.0; 2θ = 31.00°, I = 20.8; 2θ = 32.93°, I = 36.0

Cell and atoms:
```
Cs2Sb4S7
1.0
11.651 0.000 0.000
0.000 12.510 0.000
-2.097 0.000 11.991
Cs Sb S
8 16 28
Cartesian
-0.176 0.852 2.097 Cs
-1.225 5.403 8.093 Cs
3.548 6.812 9.662 Cs
4.597 11.953 3.666 Cs
4.957 0.557 8.325 Cs
6.005 5.698 2.329 Cs
10.778 7.107 3.899 Cs
9.729 11.658 9.894 Cs
0.615 1.846 7.077 Sb
1.664 4.409 1.082 Sb
2.249 8.023 0.660 Sb
1.201 10.742 6.656 Sb
1.473 1.746 11.387 Sb
2.521 4.509 5.391 Sb
3.289 8.248 5.110 Sb
2.240 10.517 11.106 Sb
7.313 1.993 0.885 Sb
6.265 4.262 6.881 Sb
7.032 8.001 6.600 Sb
8.081 10.764 0.605 Sb
8.353 1.768 5.335 Sb
7.304 4.487 11.331 Sb
7.890 8.101 10.910 Sb
8.939 10.664 4.914 Sb
-0.712 2.573 10.845 S
0.336 3.682 4.850 S
1.402 0.309 5.289 S
0.354 5.946 11.285 S
0.562 9.113 10.111 S
1.611 9.653 4.115 S
2.459 6.304 2.690 S
1.410 12.462 8.685 S
1.889 6.685 6.487 S
2.938 12.081 0.492 S
3.644 3.006 1.608 S
2.596 3.249 7.604 S
4.584 8.836 1.007 S
3.535 9.930 7.002 S
6.018 2.580 4.989 S
4.970 3.675 10.985 S
6.958 9.261 4.388 S
5.909 9.504 10.383 S
6.616 0.430 11.500 S
7.664 5.825 5.504 S
8.143 0.048 3.306 S
7.095 6.207 9.302 S
7.943 2.858 7.876 S
8.991 3.397 1.881 S
9.200 6.564 0.706 S
8.151 12.201 6.702 S
9.217 8.828 7.141 S
10.266 9.937 1.146 S
```

Starting from the GGA-PBE geometry in Alexandria, the X-ray diffraction stick pattern of Pr2ErIr3 was computed for Cu Kα (λ = 1.5418 Å).

Peak list (8 most intense, 10° ≤ 2θ ≤ 90°, sorted by position)
2θ = 31.09°, I = 57.7; 2θ = 31.46°, I = 100.0; 2θ = 38.84°, I = 31.8; 2θ = 44.82°, I = 81.0; 2θ = 50.56°, I = 30.0; 2θ = 65.72°, I = 20.9; 2θ = 73.84°, I = 17.5; 2θ = 74.48°, I = 29.2

Cell and atoms:
```
Pr2ErIr3
1.0
4.637 0.000 0.000
0.000 5.753 0.000
0.000 0.000 10.800
Pr Er Ir
4 2 6
Cartesian
0.000 0.000 1.855 Pr
0.000 0.000 8.945 Pr
2.318 2.876 3.545 Pr
2.318 2.876 7.255 Pr
0.000 0.000 5.400 Er
2.318 2.876 0.000 Er
0.000 2.876 1.489 Ir
0.000 2.876 5.400 Ir
0.000 2.876 9.311 Ir
2.318 0.000 0.000 Ir
2.318 0.000 3.911 Ir
2.318 0.000 6.888 Ir
```

Starting from the GGA-PBE geometry in Alexandria, the X-ray diffraction stick pattern of Tm2Ni6HPt was computed for Cu Kα (λ = 1.5418 Å).

Peak list (8 most intense, 10° ≤ 2θ ≤ 90°, sorted by position)
2θ = 30.49°, I = 100.0; 2θ = 35.92°, I = 32.5; 2θ = 37.58°, I = 49.5; 2θ = 43.66°, I = 75.6; 2θ = 47.81°, I = 35.1; 2θ = 54.19°, I = 31.1; 2θ = 63.46°, I = 42.2; 2θ = 72.03°, I = 26.8

Cell and atoms:
```
Tm2Ni6HPt
1.0
2.933 1.693 4.783
-2.933 1.693 4.783
0.000 -3.387 4.783
Tm Ni H Pt
2 6 1 1
Cartesian
0.000 0.000 3.585 Tm
0.000 0.000 10.763 Tm
0.000 -1.426 6.167 Ni
-1.235 0.713 6.167 Ni
-1.235 -0.713 8.182 Ni
1.235 0.713 6.167 Ni
1.235 -0.713 8.182 Ni
0.000 1.426 8.182 Ni
0.000 0.000 7.174 H
0.000 0.000 0.000 Pt
```

Starting from the GGA-PBE geometry in Alexandria, the X-ray diffraction stick pattern of K2As2F7 was computed for Cu Kα (λ = 1.5418 Å).

Peak list (8 most intense, 10° ≤ 2θ ≤ 90°, sorted by position)
2θ = 18.27°, I = 83.9; 2θ = 23.71°, I = 52.5; 2θ = 25.74°, I = 51.0; 2θ = 26.44°, I = 79.4; 2θ = 26.87°, I = 34.6; 2θ = 27.58°, I = 100.0; 2θ = 34.37°, I = 57.8; 2θ = 38.26°, I = 51.9

Cell and atoms:
```
K2As2F7
1.0
5.226 0.000 0.000
0.000 13.272 0.000
-0.307 0.000 5.556
K As F
4 4 14
Cartesian
1.084 0.000 1.869 K
1.223 9.504 3.685 K
3.696 2.868 1.871 K
3.836 6.636 3.687 K
1.017 3.555 4.607 As
1.292 5.947 0.949 As
3.627 12.583 4.607 As
3.903 10.191 0.948 As
0.469 10.673 1.060 F
0.461 2.125 3.477 F
0.953 2.461 0.549 F
1.160 4.749 2.779 F
1.352 7.042 5.008 F
1.846 7.378 2.079 F
1.833 12.105 4.499 F
3.087 5.469 1.057 F
3.073 0.742 3.477 F
3.568 0.405 0.548 F
3.759 11.386 2.777 F
3.967 9.097 5.007 F
4.459 8.761 2.079 F
4.450 4.037 4.496 F
```

Starting from the GGA-PBE geometry in Alexandria, the X-ray diffraction stick pattern of Hg3PBr2 was computed for Cu Kα (λ = 1.5418 Å).

Peak list (8 most intense, 10° ≤ 2θ ≤ 90°, sorted by position)
2θ = 24.84°, I = 15.2; 2θ = 26.23°, I = 100.0; 2θ = 34.11°, I = 23.8; 2θ = 34.19°, I = 11.9; 2θ = 40.48°, I = 37.6; 2θ = 44.57°, I = 16.6; 2θ = 48.88°, I = 19.0; 2θ = 65.28°, I = 16.0

Cell and atoms:
```
Hg3PBr2
1.0
6.686 -3.859 0.000
6.686 3.859 0.000
-0.025 0.000 7.168
Hg P Br
6 2 4
Cartesian
6.667 2.536 5.376 Hg
4.486 1.266 1.810 Hg
4.474 -1.266 5.394 Hg
8.874 1.266 1.774 Hg
8.861 -1.266 5.358 Hg
6.680 -2.536 1.792 Hg
6.680 -0.001 1.792 P
6.667 0.001 5.376 P
2.208 0.001 7.168 Br
2.220 -0.001 3.584 Br
11.139 -0.001 0.000 Br
11.127 0.001 3.584 Br
```

Starting from the GGA-PBE geometry in Alexandria, the X-ray diffraction stick pattern of Sm4TlPd was computed for Cu Kα (λ = 1.5418 Å).

Peak list (8 most intense, 10° ≤ 2θ ≤ 90°, sorted by position)
2θ = 30.10°, I = 92.0; 2θ = 31.45°, I = 60.3; 2θ = 31.82°, I = 86.8; 2θ = 32.79°, I = 82.6; 2θ = 32.91°, I = 100.0; 2θ = 39.08°, I = 43.6; 2θ = 42.13°, I = 33.4; 2θ = 51.30°, I = 37.3

Cell and atoms:
```
Sm4TlPd
1.0
5.871 0.000 0.000
0.000 7.125 0.000
-2.151 0.000 8.436
Sm Tl Pd
8 2 2
Cartesian
0.737 1.781 0.560 Sm
0.599 5.344 3.170 Sm
0.171 3.606 6.480 Sm
0.171 7.081 6.480 Sm
3.550 0.044 1.956 Sm
3.550 3.519 1.956 Sm
3.122 1.781 5.267 Sm
2.984 5.344 7.876 Sm
0.277 1.781 3.665 Tl
3.444 5.344 4.772 Tl
1.852 5.344 0.461 Pd
1.869 1.781 7.975 Pd
```